No. 1
This entry pairs a crystal structure of MnSn2S3 with its computed powder diffraction line list. Radiation: a wavelength of 1.5418 Å. Structure: a crystal structure in Alexandria, relaxed with GGA-PBE.
Peak positions follow from Bragg's law for the DFT cell and can differ from measured ones.

Most intense lines, 2θ from 10° to 90°, in order of rising 2θ:
d 3.787, 23.49°, intensity 55; d 3.398, 26.22°, intensity 34; d 3.327, 26.79°, intensity 100; d 2.934, 30.47°, intensity 94; d 2.892, 30.92°, intensity 49; d 2.776, 32.25°, intensity 43; d 2.233, 40.39°, intensity 39; d 2.042, 44.35°, intensity 57; d 1.802, 50.66°, intensity 41; d 1.798, 50.78°, intensity 35

Crystal structure
a = 8.4344 Å, b = 4.0838 Å, c = 17.2158 Å
α = 90.00°, β = 90.00°, γ = 90.00°
Fractional positions:
Mn 0.1244 0.2500 0.1298
Mn 0.3756 0.7500 0.6298
Mn 0.6244 0.2500 0.3702
Mn 0.8756 0.7500 0.8702
Sn 0.0759 0.2500 0.7385
Sn 0.1943 0.2500 0.4544
Sn 0.3057 0.7500 0.9544
Sn 0.4241 0.7500 0.2385
Sn 0.5759 0.2500 0.7615
Sn 0.6943 0.2500 0.0456
Sn 0.8057 0.7500 0.5456
Sn 0.9241 0.7500 0.2615
S 0.0260 0.2500 0.8911
S 0.1360 0.7500 0.5569
S 0.1464 0.2500 0.2689
S 0.3536 0.7500 0.7689
S 0.3640 0.2500 0.0569
S 0.4740 0.7500 0.3911
S 0.5260 0.2500 0.6089
S 0.6360 0.7500 0.9431
S 0.6464 0.2500 0.2311
S 0.8536 0.7500 0.7311
S 0.8640 0.2500 0.4431
S 0.9740 0.7500 0.1089

No. 2
This entry pairs a crystal structure of SrMnV2S8 with its computed powder diffraction line list. Radiation: a wavelength of 1.5418 Å. Structure: a crystal structure in Alexandria, relaxed with GGA-PBE.
Peak positions follow from Bragg's law for the DFT cell and can differ from measured ones.

Most intense lines, 2θ from 10° to 90°, in order of rising 2θ:
d 4.006, 22.19°, intensity 100; d 2.975, 30.04°, intensity 46; d 2.831, 31.60°, intensity 31; d 2.807, 31.88°, intensity 71; d 2.709, 33.06°, intensity 27; d 2.436, 36.89°, intensity 53; d 2.388, 37.66°, intensity 30; d 1.862, 48.91°, intensity 24; d 1.728, 52.98°, intensity 52; d 1.717, 53.34°, intensity 45

Crystal structure
a = 9.1623 Å, b = 9.1623 Å, c = 9.1623 Å
α = 37.89°, β = 37.89°, γ = 37.89°
Fractional positions:
Sr 0.0000 0.0000 0.0000
Mn 0.5000 0.5000 0.5000
V 0.2447 0.2447 0.2447
V 0.7553 0.7553 0.7553
S 0.1346 0.7689 0.4306
S 0.2311 0.5694 0.8654
S 0.3279 0.3279 0.3279
S 0.4306 0.1346 0.7689
S 0.5694 0.8654 0.2311
S 0.6721 0.6721 0.6721
S 0.7689 0.4306 0.1346
S 0.8654 0.2311 0.5694

No. 3
This entry pairs a crystal structure of Ta4MnS8 with its computed powder diffraction line list. Radiation: a wavelength of 1.5418 Å. Structure: a crystal structure in Alexandria, relaxed with GGA-PBE.
Peak positions follow from Bragg's law for the DFT cell and can differ from measured ones.

Most intense lines, 2θ from 10° to 90°, in order of rising 2θ:
d 6.248, 14.17°, intensity 100; d 3.124, 28.57°, intensity 11; d 2.895, 30.89°, intensity 45; d 2.627, 34.13°, intensity 74; d 2.124, 42.57°, intensity 75; d 1.691, 54.25°, intensity 20; d 1.671, 54.93°, intensity 22; d 1.615, 57.04°, intensity 17; d 1.313, 71.88°, intensity 15; d 1.141, 84.98°, intensity 13

Crystal structure
a = 6.6860 Å, b = 6.6860 Å, c = 12.4969 Å
α = 90.00°, β = 90.00°, γ = 120.00°
Fractional positions:
Ta 0.0000 0.0000 0.2500
Ta 0.0000 0.0000 0.7500
Ta 0.0116 0.5058 0.2500
Ta 0.4942 0.5058 0.2500
Ta 0.4942 0.9884 0.2500
Ta 0.5058 0.0116 0.7500
Ta 0.5058 0.4942 0.7500
Ta 0.9884 0.4942 0.7500
Mn 0.0000 0.0000 0.0000
Mn 0.0000 0.0000 0.5000
S 0.1685 0.3369 0.6255
S 0.1685 0.3369 0.8745
S 0.1685 0.8315 0.6255
S 0.1685 0.8315 0.8745
S 0.3333 0.6667 0.1216
S 0.3333 0.6667 0.3784
S 0.3369 0.1685 0.1255
S 0.3369 0.1685 0.3745
S 0.6631 0.8315 0.6255
S 0.6631 0.8315 0.8745
S 0.6667 0.3333 0.6216
S 0.6667 0.3333 0.8784
S 0.8315 0.1685 0.1255
S 0.8315 0.1685 0.3745
S 0.8315 0.6631 0.1255
S 0.8315 0.6631 0.3745